(1)
For AcSm15Tm4, a structure optimized by DFT (PBE) gives the computed powder XRD pattern in this record (a wavelength of 1.5418 Å).
No peak broadening, texture or thermal motion is included.

The 10 most intense peaks (5° ≤ 2θ ≤ 70°), low angle first:
- 2θ = 17.3°, d 5.116, intensity 1
- 2θ = 28.3°, d 3.149, intensity 1
- 2θ = 30.3°, d 2.954, intensity 100
- 2θ = 35.1°, d 2.558, intensity 51
- 2θ = 47.8°, d 1.901, intensity 1
- 2θ = 50.4°, d 1.809, intensity 36
- 2θ = 56.5°, d 1.630, intensity 1
- 2θ = 60.0°, d 1.543, intensity 42
- 2θ = 62.9°, d 1.477, intensity 12
- 2θ = 63.7°, d 1.461, intensity 1

Crystal structure
```
data_AcSm15Tm4
_cell_length_a 5.1191
_cell_length_b 5.1191
_cell_length_c 25.5552
_cell_angle_alpha 90.00
_cell_angle_beta 90.00
_cell_angle_gamma 90.00
_symmetry_space_group_name_H-M 'P 1'
_symmetry_Int_Tables_number 1
loop_
_symmetry_equiv_pos_as_xyz
'x,y,z'
loop_
_atom_site_label
_atom_site_type_symbol
_atom_site_fract_x
_atom_site_fract_y
_atom_site_fract_z
Ac1 Ac 0.0000 0.0000 0.0000
Sm1 Sm 0.0000 0.5000 0.1057
Sm2 Sm 0.0000 0.5000 0.3029
Sm3 Sm 0.0000 0.5000 0.5000
Sm4 Sm 0.0000 0.5000 0.6971
Sm5 Sm 0.0000 0.5000 0.8943
Sm6 Sm 0.5000 0.0000 0.1057
Sm7 Sm 0.5000 0.0000 0.3029
Sm8 Sm 0.5000 0.0000 0.5000
Sm9 Sm 0.5000 0.0000 0.6971
Sm10 Sm 0.5000 0.0000 0.8943
Sm11 Sm 0.5000 0.5000 0.0000
Sm12 Sm 0.5000 0.5000 0.2054
Sm13 Sm 0.5000 0.5000 0.4016
Sm14 Sm 0.5000 0.5000 0.5984
Sm15 Sm 0.5000 0.5000 0.7946
Tm1 Tm 0.0000 0.0000 0.2041
Tm2 Tm 0.0000 0.0000 0.4015
Tm3 Tm 0.0000 0.0000 0.5985
Tm4 Tm 0.0000 0.0000 0.7959
```

=====

(2)
For AcSm5Tm3, a structure optimized by DFT (PBE) gives the computed powder XRD pattern in this record (a wavelength of 1.5418 Å).
No peak broadening, texture or thermal motion is included.

The 10 most intense peaks (5° ≤ 2θ ≤ 70°), low angle first:
- 2θ = 30.9°, d 2.898, intensity 23
- 2θ = 31.1°, d 2.878, intensity 100
- 2θ = 31.6°, d 2.827, intensity 25
- 2θ = 44.3°, d 2.047, intensity 9
- 2θ = 44.8°, d 2.024, intensity 16
- 2θ = 55.1°, d 1.667, intensity 7
- 2θ = 55.4°, d 1.658, intensity 10
- 2θ = 56.0°, d 1.642, intensity 18
- 2θ = 61.3°, d 1.511, intensity 15
- 2θ = 61.7°, d 1.504, intensity 8

Crystal structure
```
data_AcSm5Tm3
_cell_length_a 9.1405
_cell_length_b 9.1405
_cell_length_c 9.0818
_cell_angle_alpha 114.56
_cell_angle_beta 114.56
_cell_angle_gamma 66.45
_symmetry_space_group_name_H-M 'P 1'
_symmetry_Int_Tables_number 1
loop_
_symmetry_equiv_pos_as_xyz
'x,y,z'
loop_
_atom_site_label
_atom_site_type_symbol
_atom_site_fract_x
_atom_site_fract_y
_atom_site_fract_z
Ac1 Ac 0.0974 0.9026 0.7500
Ac2 Ac 0.9026 0.0974 0.2500
Sm1 Sm 0.0588 0.2712 0.0711
Sm2 Sm 0.2528 0.3934 0.8983
Sm3 Sm 0.2712 0.0588 0.5711
Sm4 Sm 0.3934 0.2528 0.3983
Sm5 Sm 0.4388 0.5612 0.7500
Sm6 Sm 0.5612 0.4388 0.2500
Sm7 Sm 0.6066 0.7472 0.6017
Sm8 Sm 0.7288 0.9412 0.4289
Sm9 Sm 0.7472 0.6066 0.1017
Sm10 Sm 0.9412 0.7288 0.9289
Tm1 Tm 0.0000 0.5000 0.5000
Tm2 Tm 0.1710 0.6600 0.3346
Tm3 Tm 0.3400 0.8290 0.1654
Tm4 Tm 0.5000 0.0000 0.0000
Tm5 Tm 0.6600 0.1710 0.8346
Tm6 Tm 0.8290 0.3400 0.6654
```

=====

(3)
For AcSm10Tm6, a structure optimized by DFT (PBE) gives the computed powder XRD pattern in this record (a wavelength of 1.5418 Å).
No peak broadening, texture or thermal motion is included.

The 10 most intense peaks (5° ≤ 2θ ≤ 70°), low angle first:
- 2θ = 24.6°, d 3.613, intensity 6
- 2θ = 30.8°, d 2.907, intensity 18
- 2θ = 31.7°, d 2.823, intensity 100
- 2θ = 40.5°, d 2.226, intensity 5
- 2θ = 45.4°, d 1.996, intensity 15
- 2θ = 48.6°, d 1.873, intensity 7
- 2θ = 56.4°, d 1.631, intensity 16
- 2θ = 56.6°, d 1.626, intensity 10
- 2θ = 59.2°, d 1.561, intensity 5
- 2θ = 62.4°, d 1.488, intensity 5

Crystal structure
```
data_AcSm10Tm6
_cell_length_a 9.7938
_cell_length_b 9.7938
_cell_length_c 6.8976
_cell_angle_alpha 90.00
_cell_angle_beta 90.00
_cell_angle_gamma 120.00
_symmetry_space_group_name_H-M 'P 1'
_symmetry_Int_Tables_number 1
loop_
_symmetry_equiv_pos_as_xyz
'x,y,z'
loop_
_atom_site_label
_atom_site_type_symbol
_atom_site_fract_x
_atom_site_fract_y
_atom_site_fract_z
Ac1 Ac 0.0000 0.0000 0.0000
Sm1 Sm 0.0000 0.2838 0.3273
Sm2 Sm 0.0000 0.7162 0.6727
Sm3 Sm 0.2838 0.0000 0.3273
Sm4 Sm 0.2838 0.2838 0.6727
Sm5 Sm 0.3333 0.6667 0.0000
Sm6 Sm 0.3333 0.6667 0.5000
Sm7 Sm 0.6667 0.3333 0.0000
Sm8 Sm 0.6667 0.3333 0.5000
Sm9 Sm 0.7162 0.0000 0.6727
Sm10 Sm 0.7162 0.7162 0.3273
Tm1 Tm 0.0000 0.3709 0.8140
Tm2 Tm 0.0000 0.6291 0.1860
Tm3 Tm 0.3709 0.0000 0.8140
Tm4 Tm 0.3709 0.3709 0.1860
Tm5 Tm 0.6291 0.0000 0.1860
Tm6 Tm 0.6291 0.6291 0.8140
```

=====

(4)
For AcSm4Tm, a structure optimized by DFT (PBE) gives the computed powder XRD pattern in this record (a wavelength of 1.5418 Å).
No peak broadening, texture or thermal motion is included.

The 10 most intense peaks (5° ≤ 2θ ≤ 70°), low angle first:
- 2θ = 26.7°, d 3.345, intensity 46
- 2θ = 29.8°, d 2.996, intensity 62
- 2θ = 30.6°, d 2.920, intensity 36
- 2θ = 30.7°, d 2.911, intensity 100
- 2θ = 34.4°, d 2.605, intensity 89
- 2θ = 40.4°, d 2.231, intensity 31
- 2θ = 52.6°, d 1.741, intensity 18
- 2θ = 53.5°, d 1.713, intensity 21
- 2θ = 55.9°, d 1.644, intensity 22
- 2θ = 61.6°, d 1.505, intensity 22

Crystal structure
```
data_AcSm4Tm
_cell_length_a 10.6016
_cell_length_b 10.6016
_cell_length_c 5.9913
_cell_angle_alpha 90.04
_cell_angle_beta 90.04
_cell_angle_gamma 140.88
_symmetry_space_group_name_H-M 'P 1'
_symmetry_Int_Tables_number 1
loop_
_symmetry_equiv_pos_as_xyz
'x,y,z'
loop_
_atom_site_label
_atom_site_type_symbol
_atom_site_fract_x
_atom_site_fract_y
_atom_site_fract_z
Ac1 Ac 0.0542 0.9458 0.7500
Ac2 Ac 0.9458 0.0542 0.2500
Sm1 Sm 0.0459 0.4652 0.2499
Sm2 Sm 0.1437 0.3704 0.7499
Sm3 Sm 0.3704 0.1437 0.2499
Sm4 Sm 0.4652 0.0459 0.7499
Sm5 Sm 0.5348 0.9541 0.2501
Sm6 Sm 0.6296 0.8563 0.7501
Sm7 Sm 0.8563 0.6296 0.2501
Sm8 Sm 0.9541 0.5348 0.7501
Tm1 Tm 0.4492 0.5508 0.2500
Tm2 Tm 0.5508 0.4492 0.7500
```

=====

(5)
For Ac2Sm7Tm2, a structure optimized by DFT (PBE) gives the computed powder XRD pattern in this record (a wavelength of 1.5418 Å).
No peak broadening, texture or thermal motion is included.

The 10 most intense peaks (5° ≤ 2θ ≤ 70°), low angle first:
- 2θ = 25.1°, d 3.543, intensity 31
- 2θ = 29.4°, d 3.043, intensity 13
- 2θ = 30.1°, d 2.972, intensity 82
- 2θ = 30.8°, d 2.901, intensity 100
- 2θ = 31.2°, d 2.866, intensity 21
- 2θ = 33.1°, d 2.709, intensity 57
- 2θ = 43.9°, d 2.064, intensity 15
- 2θ = 48.4°, d 1.880, intensity 18
- 2θ = 53.8°, d 1.703, intensity 27
- 2θ = 55.3°, d 1.661, intensity 13

Crystal structure
```
data_Ac2Sm7Tm2
_cell_length_a 8.2785
_cell_length_b 8.2785
_cell_length_c 6.1738
_cell_angle_alpha 105.23
_cell_angle_beta 105.23
_cell_angle_gamma 91.87
_symmetry_space_group_name_H-M 'P 1'
_symmetry_Int_Tables_number 1
loop_
_symmetry_equiv_pos_as_xyz
'x,y,z'
loop_
_atom_site_label
_atom_site_type_symbol
_atom_site_fract_x
_atom_site_fract_y
_atom_site_fract_z
Ac1 Ac 0.2211 0.2211 0.1028
Ac2 Ac 0.7789 0.7789 0.8972
Sm1 Sm 0.0000 0.0000 0.5000
Sm2 Sm 0.0542 0.5936 0.3284
Sm3 Sm 0.4064 0.9458 0.6716
Sm4 Sm 0.4206 0.4206 0.7026
Sm5 Sm 0.5794 0.5794 0.2974
Sm6 Sm 0.5936 0.0542 0.3284
Sm7 Sm 0.9458 0.4064 0.6716
Tm1 Tm 0.2339 0.7661 0.0000
Tm2 Tm 0.7661 0.2339 0.0000
```

=====

(6)
For Ac7Sm4Tm, a structure optimized by DFT (PBE) gives the computed powder XRD pattern in this record (a wavelength of 1.5418 Å).
No peak broadening, texture or thermal motion is included.

The 10 most intense peaks (5° ≤ 2θ ≤ 70°), low angle first:
- 2θ = 27.6°, d 3.237, intensity 33
- 2θ = 28.3°, d 3.149, intensity 36
- 2θ = 29.5°, d 3.033, intensity 58
- 2θ = 29.6°, d 3.022, intensity 61
- 2θ = 30.0°, d 2.974, intensity 100
- 2θ = 30.5°, d 2.927, intensity 28
- 2θ = 30.7°, d 2.913, intensity 22
- 2θ = 31.2°, d 2.866, intensity 28
- 2θ = 53.0°, d 1.729, intensity 21
- 2θ = 53.1°, d 1.724, intensity 13

Crystal structure
```
data_Ac7Sm4Tm
_cell_length_a 6.9924
_cell_length_b 7.1681
_cell_length_c 10.0037
_cell_angle_alpha 89.59
_cell_angle_beta 76.12
_cell_angle_gamma 83.98
_symmetry_space_group_name_H-M 'P 1'
_symmetry_Int_Tables_number 1
loop_
_symmetry_equiv_pos_as_xyz
'x,y,z'
loop_
_atom_site_label
_atom_site_type_symbol
_atom_site_fract_x
_atom_site_fract_y
_atom_site_fract_z
Ac1 Ac 0.0000 0.0000 0.0000
Ac2 Ac 0.2018 0.6245 0.3985
Ac3 Ac 0.2975 0.1762 0.6333
Ac4 Ac 0.4918 0.7484 0.0573
Ac5 Ac 0.5082 0.2516 0.9427
Ac6 Ac 0.7025 0.8238 0.3667
Ac7 Ac 0.7982 0.3755 0.6015
Sm1 Sm 0.1633 0.1398 0.2942
Sm2 Sm 0.3495 0.6782 0.7298
Sm3 Sm 0.6505 0.3218 0.2702
Sm4 Sm 0.8367 0.8602 0.7058
Tm1 Tm 0.0000 0.5000 0.0000
```

=====

(7)
For AcSm4Tm4, a structure optimized by DFT (PBE) gives the computed powder XRD pattern in this record (a wavelength of 1.5418 Å).
No peak broadening, texture or thermal motion is included.

The 10 most intense peaks (5° ≤ 2θ ≤ 70°), low angle first:
- 2θ = 29.3°, d 3.043, intensity 68
- 2θ = 30.5°, d 2.927, intensity 100
- 2θ = 31.0°, d 2.883, intensity 89
- 2θ = 31.2°, d 2.865, intensity 83
- 2θ = 33.0°, d 2.716, intensity 75
- 2θ = 33.2°, d 2.697, intensity 68
- 2θ = 39.7°, d 2.272, intensity 31
- 2θ = 49.1°, d 1.855, intensity 27
- 2θ = 53.3°, d 1.719, intensity 22
- 2θ = 58.9°, d 1.567, intensity 31

Crystal structure
```
data_AcSm4Tm4
_cell_length_a 6.3315
_cell_length_b 8.9844
_cell_length_c 11.5294
_cell_angle_alpha 90.43
_cell_angle_beta 102.66
_cell_angle_gamma 109.57
_symmetry_space_group_name_H-M 'P 1'
_symmetry_Int_Tables_number 1
loop_
_symmetry_equiv_pos_as_xyz
'x,y,z'
loop_
_atom_site_label
_atom_site_type_symbol
_atom_site_fract_x
_atom_site_fract_y
_atom_site_fract_z
Ac1 Ac 0.0589 0.4381 0.2947
Ac2 Ac 0.9411 0.5619 0.7053
Sm1 Sm 0.1407 0.2635 0.8600
Sm2 Sm 0.1982 0.9152 0.9439
Sm3 Sm 0.3230 0.7903 0.5227
Sm4 Sm 0.4233 0.2553 0.1722
Sm5 Sm 0.5767 0.7447 0.8278
Sm6 Sm 0.6770 0.2097 0.4773
Sm7 Sm 0.8018 0.0848 0.0561
Sm8 Sm 0.8593 0.7365 0.1400
Tm1 Tm 0.0649 0.0410 0.3658
Tm2 Tm 0.2865 0.5810 0.0456
Tm3 Tm 0.3141 0.3772 0.5946
Tm4 Tm 0.4644 0.8906 0.2524
Tm5 Tm 0.5356 0.1094 0.7476
Tm6 Tm 0.6859 0.6228 0.4054
Tm7 Tm 0.7135 0.4190 0.9544
Tm8 Tm 0.9351 0.9590 0.6342
```

=====

(8)
For AcSmTm, a structure optimized by DFT (PBE) gives the computed powder XRD pattern in this record (a wavelength of 1.5418 Å).
No peak broadening, texture or thermal motion is included.

The 10 most intense peaks (5° ≤ 2θ ≤ 70°), low angle first:
- 2θ = 28.4°, d 3.145, intensity 19
- 2θ = 28.6°, d 3.118, intensity 13
- 2θ = 29.6°, d 3.014, intensity 61
- 2θ = 31.2°, d 2.865, intensity 100
- 2θ = 36.5°, d 2.463, intensity 16
- 2θ = 41.7°, d 2.166, intensity 9
- 2θ = 47.6°, d 1.910, intensity 10
- 2θ = 50.5°, d 1.808, intensity 9
- 2θ = 53.6°, d 1.709, intensity 20
- 2θ = 57.1°, d 1.613, intensity 14

Crystal structure
```
data_AcSmTm
_cell_length_a 6.5135
_cell_length_b 12.0443
_cell_length_c 6.2360
_cell_angle_alpha 90.00
_cell_angle_beta 118.37
_cell_angle_gamma 90.00
_symmetry_space_group_name_H-M 'P 1'
_symmetry_Int_Tables_number 1
loop_
_symmetry_equiv_pos_as_xyz
'x,y,z'
loop_
_atom_site_label
_atom_site_type_symbol
_atom_site_fract_x
_atom_site_fract_y
_atom_site_fract_z
Ac1 Ac 0.1706 0.1328 0.1569
Ac2 Ac 0.1706 0.3672 0.6569
Ac3 Ac 0.8294 0.6328 0.3431
Ac4 Ac 0.8294 0.8672 0.8431
Sm1 Sm 0.1882 0.6158 0.0130
Sm2 Sm 0.1882 0.8842 0.5130
Sm3 Sm 0.8118 0.1158 0.4870
Sm4 Sm 0.8118 0.3842 0.9870
Tm1 Tm 0.4836 0.6160 0.6592
Tm2 Tm 0.4836 0.8840 0.1592
Tm3 Tm 0.5164 0.1160 0.8408
Tm4 Tm 0.5164 0.3840 0.3408
```

=====

(9)
For AcSm12Tm2, a structure optimized by DFT (PBE) gives the computed powder XRD pattern in this record (a wavelength of 1.5418 Å).
No peak broadening, texture or thermal motion is included.

The 10 most intense peaks (5° ≤ 2θ ≤ 70°), low angle first:
- 2θ = 29.7°, d 3.010, intensity 100
- 2θ = 30.6°, d 2.926, intensity 41
- 2θ = 31.4°, d 2.852, intensity 61
- 2θ = 31.6°, d 2.828, intensity 20
- 2θ = 31.7°, d 2.825, intensity 21
- 2θ = 31.8°, d 2.811, intensity 54
- 2θ = 32.9°, d 2.723, intensity 25
- 2θ = 45.2°, d 2.008, intensity 30
- 2θ = 54.8°, d 1.675, intensity 19
- 2θ = 60.5°, d 1.531, intensity 18

Crystal structure
```
data_AcSm12Tm2
_cell_length_a 6.7610
_cell_length_b 6.7610
_cell_length_c 24.8605
_cell_angle_alpha 92.21
_cell_angle_beta 92.21
_cell_angle_gamma 115.07
_symmetry_space_group_name_H-M 'P 1'
_symmetry_Int_Tables_number 1
loop_
_symmetry_equiv_pos_as_xyz
'x,y,z'
loop_
_atom_site_label
_atom_site_type_symbol
_atom_site_fract_x
_atom_site_fract_y
_atom_site_fract_z
Ac1 Ac 0.2486 0.2486 0.4925
Ac2 Ac 0.7514 0.7514 0.5075
Sm1 Sm 0.0632 0.5362 0.7048
Sm2 Sm 0.0695 0.5932 0.8302
Sm3 Sm 0.1236 0.1236 0.0742
Sm4 Sm 0.1490 0.6226 0.0551
Sm5 Sm 0.2147 0.2147 0.3481
Sm6 Sm 0.2334 0.7325 0.4233
Sm7 Sm 0.2675 0.7666 0.5767
Sm8 Sm 0.2814 0.2814 0.6353
Sm9 Sm 0.3481 0.3481 0.9201
Sm10 Sm 0.3774 0.8510 0.9449
Sm11 Sm 0.4068 0.9305 0.1698
Sm12 Sm 0.4638 0.9368 0.2952
Sm13 Sm 0.5362 0.0632 0.7048
Sm14 Sm 0.5932 0.0695 0.8302
Sm15 Sm 0.6226 0.1490 0.0551
Sm16 Sm 0.6519 0.6519 0.0799
Sm17 Sm 0.7186 0.7186 0.3647
Sm18 Sm 0.7325 0.2334 0.4233
Sm19 Sm 0.7666 0.2675 0.5767
Sm20 Sm 0.7853 0.7853 0.6519
Sm21 Sm 0.8510 0.3774 0.9449
Sm22 Sm 0.8764 0.8764 0.9258
Sm23 Sm 0.9305 0.4068 0.1698
Sm24 Sm 0.9368 0.4638 0.2952
Tm1 Tm 0.0762 0.0762 0.7755
Tm2 Tm 0.4417 0.4417 0.2230
Tm3 Tm 0.5583 0.5583 0.7770
Tm4 Tm 0.9238 0.9238 0.2245
```

=====

(10)
For AcSm4Tm6, a structure optimized by DFT (PBE) gives the computed powder XRD pattern in this record (a wavelength of 1.5418 Å).
No peak broadening, texture or thermal motion is included.

The 10 most intense peaks (5° ≤ 2θ ≤ 70°), low angle first:
- 2θ = 28.4°, d 3.148, intensity 25
- 2θ = 28.9°, d 3.094, intensity 17
- 2θ = 29.4°, d 3.037, intensity 20
- 2θ = 31.0°, d 2.883, intensity 35
- 2θ = 31.6°, d 2.830, intensity 100
- 2θ = 35.3°, d 2.541, intensity 39
- 2θ = 36.9°, d 2.437, intensity 39
- 2θ = 52.3°, d 1.750, intensity 29
- 2θ = 53.0°, d 1.727, intensity 20
- 2θ = 60.9°, d 1.522, intensity 15

Crystal structure
```
data_AcSm4Tm6
_cell_length_a 12.6548
_cell_length_b 12.6548
_cell_length_c 6.2960
_cell_angle_alpha 90.00
_cell_angle_beta 90.00
_cell_angle_gamma 131.33
_symmetry_space_group_name_H-M 'P 1'
_symmetry_Int_Tables_number 1
loop_
_symmetry_equiv_pos_as_xyz
'x,y,z'
loop_
_atom_site_label
_atom_site_type_symbol
_atom_site_fract_x
_atom_site_fract_y
_atom_site_fract_z
Ac1 Ac 0.2500 0.7500 0.7500
Ac2 Ac 0.7500 0.2500 0.2500
Sm1 Sm 0.0487 0.2948 0.2469
Sm2 Sm 0.2052 0.4513 0.7469
Sm3 Sm 0.2948 0.0487 0.7469
Sm4 Sm 0.4513 0.2052 0.2469
Sm5 Sm 0.5487 0.7948 0.7531
Sm6 Sm 0.7052 0.9513 0.2531
Sm7 Sm 0.7948 0.5487 0.2531
Sm8 Sm 0.9513 0.7052 0.7531
Tm1 Tm 0.0894 0.5894 0.2500
Tm2 Tm 0.0954 0.9046 0.2500
Tm3 Tm 0.2500 0.2500 0.4970
Tm4 Tm 0.2500 0.2500 0.9970
Tm5 Tm 0.4046 0.5954 0.2500
Tm6 Tm 0.4106 0.9106 0.2500
Tm7 Tm 0.5894 0.0894 0.7500
Tm8 Tm 0.5954 0.4046 0.7500
Tm9 Tm 0.7500 0.7500 0.0030
Tm10 Tm 0.7500 0.7500 0.5030
Tm11 Tm 0.9046 0.0954 0.7500
Tm12 Tm 0.9106 0.4106 0.7500
```

=====

(11)
For AcSm5Y2Tm, a structure optimized by DFT (PBE) gives the computed powder XRD pattern in this record (a wavelength of 1.5418 Å).
No peak broadening, texture or thermal motion is included.

The 10 most intense peaks (5° ≤ 2θ ≤ 70°), low angle first:
- 2θ = 16.4°, d 5.414, intensity 22
- 2θ = 27.2°, d 3.281, intensity 28
- 2θ = 29.0°, d 3.074, intensity 27
- 2θ = 29.5°, d 3.032, intensity 23
- 2θ = 31.0°, d 2.889, intensity 100
- 2θ = 31.8°, d 2.816, intensity 82
- 2θ = 32.2°, d 2.776, intensity 70
- 2θ = 33.1°, d 2.710, intensity 68
- 2θ = 43.9°, d 2.060, intensity 19
- 2θ = 56.7°, d 1.624, intensity 18

Crystal structure
```
data_AcSm5Y2Tm
_cell_length_a 12.5113
_cell_length_b 12.5113
_cell_length_c 9.3908
_cell_angle_alpha 90.00
_cell_angle_beta 90.00
_cell_angle_gamma 154.36
_symmetry_space_group_name_H-M 'P 1'
_symmetry_Int_Tables_number 1
loop_
_symmetry_equiv_pos_as_xyz
'x,y,z'
loop_
_atom_site_label
_atom_site_type_symbol
_atom_site_fract_x
_atom_site_fract_y
_atom_site_fract_z
Ac1 Ac 0.1020 0.8980 0.5000
Ac2 Ac 0.8980 0.1020 0.0000
Sm1 Sm 0.0236 0.9764 0.1789
Sm2 Sm 0.1054 0.8946 0.9010
Sm3 Sm 0.1922 0.8078 0.2046
Sm4 Sm 0.2421 0.7579 0.5604
Sm5 Sm 0.4899 0.5101 0.3998
Sm6 Sm 0.5101 0.4899 0.8998
Sm7 Sm 0.7579 0.2421 0.0604
Sm8 Sm 0.8078 0.1922 0.7046
Sm9 Sm 0.8946 0.1054 0.4010
Sm10 Sm 0.9764 0.0236 0.6789
Y1 Y 0.3279 0.6721 0.2472
Y2 Y 0.3873 0.6127 0.6539
Y3 Y 0.6127 0.3873 0.1539
Y4 Y 0.6721 0.3279 0.7472
Tm1 Tm 0.2593 0.7407 0.8887
Tm2 Tm 0.7407 0.2593 0.3887
```

=====

(12)
For AcSmYTm, a structure optimized by DFT (PBE) gives the computed powder XRD pattern in this record (a wavelength of 1.5418 Å).
No peak broadening, texture or thermal motion is included.

The 10 most intense peaks (5° ≤ 2θ ≤ 70°), low angle first:
- 2θ = 28.0°, d 3.185, intensity 24
- 2θ = 28.4°, d 3.148, intensity 20
- 2θ = 29.7°, d 3.010, intensity 25
- 2θ = 30.1°, d 2.971, intensity 47
- 2θ = 30.6°, d 2.918, intensity 100
- 2θ = 33.1°, d 2.708, intensity 66
- 2θ = 37.8°, d 2.381, intensity 17
- 2θ = 49.4°, d 1.846, intensity 37
- 2θ = 52.2°, d 1.754, intensity 25
- 2θ = 58.9°, d 1.568, intensity 42

Crystal structure
```
data_AcSmYTm
_cell_length_a 12.0754
_cell_length_b 12.0754
_cell_length_c 12.0754
_cell_angle_alpha 17.59
_cell_angle_beta 17.59
_cell_angle_gamma 17.59
_symmetry_space_group_name_H-M 'P 1'
_symmetry_Int_Tables_number 1
loop_
_symmetry_equiv_pos_as_xyz
'x,y,z'
loop_
_atom_site_label
_atom_site_type_symbol
_atom_site_fract_x
_atom_site_fract_y
_atom_site_fract_z
Ac1 Ac 0.0000 0.0000 0.0000
Sm1 Sm 0.2447 0.2447 0.2447
Y1 Y 0.4204 0.4204 0.4204
Tm1 Tm 0.8325 0.8325 0.8325
```

=====

Repeat the ninth record exactly.
For AcSm12Tm2, a structure optimized by DFT (PBE) gives the computed powder XRD pattern in this record (a wavelength of 1.5418 Å).
No peak broadening, texture or thermal motion is included.

The 10 most intense peaks (5° ≤ 2θ ≤ 70°), low angle first:
- 2θ = 29.7°, d 3.010, intensity 100
- 2θ = 30.6°, d 2.926, intensity 41
- 2θ = 31.4°, d 2.852, intensity 61
- 2θ = 31.6°, d 2.828, intensity 20
- 2θ = 31.7°, d 2.825, intensity 21
- 2θ = 31.8°, d 2.811, intensity 54
- 2θ = 32.9°, d 2.723, intensity 25
- 2θ = 45.2°, d 2.008, intensity 30
- 2θ = 54.8°, d 1.675, intensity 19
- 2θ = 60.5°, d 1.531, intensity 18

Crystal structure
```
data_AcSm12Tm2
_cell_length_a 6.7610
_cell_length_b 6.7610
_cell_length_c 24.8605
_cell_angle_alpha 92.21
_cell_angle_beta 92.21
_cell_angle_gamma 115.07
_symmetry_space_group_name_H-M 'P 1'
_symmetry_Int_Tables_number 1
loop_
_symmetry_equiv_pos_as_xyz
'x,y,z'
loop_
_atom_site_label
_atom_site_type_symbol
_atom_site_fract_x
_atom_site_fract_y
_atom_site_fract_z
Ac1 Ac 0.2486 0.2486 0.4925
Ac2 Ac 0.7514 0.7514 0.5075
Sm1 Sm 0.0632 0.5362 0.7048
Sm2 Sm 0.0695 0.5932 0.8302
Sm3 Sm 0.1236 0.1236 0.0742
Sm4 Sm 0.1490 0.6226 0.0551
Sm5 Sm 0.2147 0.2147 0.3481
Sm6 Sm 0.2334 0.7325 0.4233
Sm7 Sm 0.2675 0.7666 0.5767
Sm8 Sm 0.2814 0.2814 0.6353
Sm9 Sm 0.3481 0.3481 0.9201
Sm10 Sm 0.3774 0.8510 0.9449
Sm11 Sm 0.4068 0.9305 0.1698
Sm12 Sm 0.4638 0.9368 0.2952
Sm13 Sm 0.5362 0.0632 0.7048
Sm14 Sm 0.5932 0.0695 0.8302
Sm15 Sm 0.6226 0.1490 0.0551
Sm16 Sm 0.6519 0.6519 0.0799
Sm17 Sm 0.7186 0.7186 0.3647
Sm18 Sm 0.7325 0.2334 0.4233
Sm19 Sm 0.7666 0.2675 0.5767
Sm20 Sm 0.7853 0.7853 0.6519
Sm21 Sm 0.8510 0.3774 0.9449
Sm22 Sm 0.8764 0.8764 0.9258
Sm23 Sm 0.9305 0.4068 0.1698
Sm24 Sm 0.9368 0.4638 0.2952
Tm1 Tm 0.0762 0.0762 0.7755
Tm2 Tm 0.4417 0.4417 0.2230
Tm3 Tm 0.5583 0.5583 0.7770
Tm4 Tm 0.9238 0.9238 0.2245
```